# 1
Computed XRD peak list of EuMg2 for Cu Kα, 1.54184 Å, from a crystal structure in the Materials Project, relaxed with GGA-PBE.
Lines closer than 0.1° are merged.

Structure:
a = 6.2724 Å, b = 6.2724 Å, c = 6.2724 Å
α = 60.00°, β = 60.00°, γ = 60.00°
Positions (direct):
Eu (0.1250, 0.1250, 0.1250)
Eu (0.8750, 0.8750, 0.8750)
Mg (0.0000, 0.5000, 0.5000)
Mg (0.5000, 0.0000, 0.5000)
Mg (0.5000, 0.5000, 0.0000)
Mg (0.5000, 0.5000, 0.5000)

Main lines, low angle first (2θ from 10° to 90°):
2theta, intensity
17.32, 599
28.46, 993
33.51, 1000
50.40, 409
53.69, 343
58.89, 226

# 2
Computed XRD peak list of ZrGePd for Cu Kα, 1.54184 Å, from a crystal structure in the Materials Project, relaxed with GGA-PBE.
Lines closer than 0.1° are merged.

Structure:
a = 6.7279 Å, b = 3.9929 Å, c = 7.7901 Å
α = 90.00°, β = 90.00°, γ = 90.00°
Positions (direct):
Zr (0.0276, 0.2500, 0.1858)
Zr (0.4724, 0.7500, 0.6858)
Zr (0.5276, 0.2500, 0.3142)
Zr (0.9724, 0.7500, 0.8142)
Ge (0.2455, 0.7500, 0.3804)
Ge (0.2545, 0.2500, 0.8804)
Ge (0.7455, 0.7500, 0.1196)
Ge (0.7545, 0.2500, 0.6196)
Pd (0.1440, 0.2500, 0.5639)
Pd (0.3560, 0.7500, 0.0639)
Pd (0.6440, 0.2500, 0.9361)
Pd (0.8560, 0.7500, 0.4361)

Main lines, low angle first (2θ from 10° to 90°):
2theta, intensity
34.85, 1000
36.79, 775
37.11, 220
41.48, 508
41.92, 214
45.43, 402

# 3
Computed XRD peak list of BaMg14CuO16 for Cu Kα, 1.54184 Å, from a crystal structure in the Materials Project, relaxed with GGA-PBE.
Lines closer than 0.1° are merged.

Structure:
a = 8.7747 Å, b = 8.7747 Å, c = 4.4291 Å
α = 90.00°, β = 90.00°, γ = 90.00°
Positions (direct):
Ba (0.0000, 0.0000, 0.0000)
Mg (0.0000, 0.2693, 0.5000)
Mg (0.0000, 0.5000, 0.0000)
Mg (0.0000, 0.7307, 0.5000)
Mg (0.2557, 0.5000, 0.5000)
Mg (0.2608, 0.2608, 0.0000)
Mg (0.2608, 0.7392, 0.0000)
Mg (0.2693, 0.0000, 0.5000)
Mg (0.5000, 0.0000, 0.0000)
Mg (0.5000, 0.2557, 0.5000)
Mg (0.5000, 0.7443, 0.5000)
Mg (0.7307, 0.0000, 0.5000)
Mg (0.7392, 0.2608, 0.0000)
Mg (0.7392, 0.7392, 0.0000)
Mg (0.7443, 0.5000, 0.5000)
Cu (0.5000, 0.5000, 0.0000)
O (0.0000, 0.0000, 0.5000)
O (0.0000, 0.2797, 0.0000)
O (0.0000, 0.5000, 0.5000)
O (0.0000, 0.7203, 0.0000)
O (0.2503, 0.2503, 0.5000)
O (0.2504, 0.5000, 0.0000)
O (0.2503, 0.7497, 0.5000)
O (0.2797, 0.0000, 0.0000)
O (0.5000, 0.0000, 0.5000)
O (0.5000, 0.2504, 0.0000)
O (0.5000, 0.5000, 0.5000)
O (0.5000, 0.7496, 0.0000)
O (0.7203, 0.0000, 0.0000)
O (0.7497, 0.2503, 0.5000)
O (0.7496, 0.5000, 0.0000)
O (0.7497, 0.7497, 0.5000)

Main lines, low angle first (2θ from 10° to 90°):
2theta, intensity
14.27, 339
35.32, 422
40.74, 540
41.15, 1000
59.29, 597
59.60, 280

# 4
Computed XRD peak list of Zr8As5 for Cu Kα, 1.54184 Å, from a crystal structure in the Materials Project, relaxed with GGA-PBE.
Lines closer than 0.1° are merged.

Structure:
a = 3.7349 Å, b = 10.2127 Å, c = 28.8009 Å
α = 90.00°, β = 90.00°, γ = 90.00°
Positions (direct):
Zr (0.0000, 0.0020, 0.0180)
Zr (0.0000, 0.1634, 0.9056)
Zr (0.0000, 0.2485, 0.7352)
Zr (0.0000, 0.2542, 0.1784)
Zr (0.0000, 0.3394, 0.5645)
Zr (0.0000, 0.4965, 0.4512)
Zr (0.0000, 0.5035, 0.9512)
Zr (0.0000, 0.6606, 0.0645)
Zr (0.0000, 0.7458, 0.6784)
Zr (0.0000, 0.7515, 0.2352)
Zr (0.0000, 0.8366, 0.4056)
Zr (0.0000, 0.9980, 0.5180)
Zr (0.5000, 0.0236, 0.2422)
Zr (0.5000, 0.0740, 0.1153)
Zr (0.5000, 0.0886, 0.3611)
Zr (0.5000, 0.2421, 0.6526)
Zr (0.5000, 0.2450, 0.4705)
Zr (0.5000, 0.2552, 0.0000)
Zr (0.5000, 0.2589, 0.8175)
Zr (0.5000, 0.4148, 0.1082)
Zr (0.5000, 0.4240, 0.3536)
Zr (0.5000, 0.4798, 0.2279)
Zr (0.5000, 0.5202, 0.7279)
Zr (0.5000, 0.5760, 0.8536)
Zr (0.5000, 0.5852, 0.6082)
Zr (0.5000, 0.7411, 0.3175)
Zr (0.5000, 0.7448, 0.5000)
Zr (0.5000, 0.7550, 0.9705)
Zr (0.5000, 0.7579, 0.1526)
Zr (0.5000, 0.9114, 0.8611)
Zr (0.5000, 0.9260, 0.6153)
Zr (0.5000, 0.9764, 0.7422)
As (0.0000, 0.0360, 0.6744)
As (0.0000, 0.0582, 0.8113)
As (0.0000, 0.2318, 0.0737)
As (0.0000, 0.2677, 0.3975)
As (0.0000, 0.4463, 0.6599)
As (0.0000, 0.4620, 0.7962)
As (0.0000, 0.5380, 0.2962)
As (0.0000, 0.5537, 0.1599)
As (0.0000, 0.7323, 0.8975)
As (0.0000, 0.7682, 0.5737)
As (0.0000, 0.9418, 0.3113)
As (0.0000, 0.9640, 0.1744)
As (0.5000, 0.0134, 0.9485)
As (0.5000, 0.1462, 0.5632)
As (0.5000, 0.3570, 0.9061)
As (0.5000, 0.4857, 0.5201)
As (0.5000, 0.5143, 0.0201)
As (0.5000, 0.6430, 0.4061)
As (0.5000, 0.8538, 0.0632)
As (0.5000, 0.9866, 0.4485)

Main lines, low angle first (2θ from 10° to 90°):
2theta, intensity
34.61, 369
35.15, 1000
35.82, 536
39.04, 480
40.51, 388
48.76, 441

# 5
Computed XRD peak list of Sm2Sn3Pb3S12 for Cu Kα, 1.54184 Å, from a crystal structure in the Materials Project, relaxed with GGA-PBE.
Lines closer than 0.1° are merged.

Structure:
a = 3.9685 Å, b = 20.6056 Å, c = 11.7195 Å
α = 90.00°, β = 90.00°, γ = 90.00°
Positions (direct):
Sm (0.0000, 0.0877, 0.0000)
Sm (0.0000, 0.3944, 0.6753)
Sm (0.0000, 0.6056, 0.1753)
Sm (0.0000, 0.9123, 0.5000)
Sn (0.5000, 0.0753, 0.3445)
Sn (0.5000, 0.2499, 0.8520)
Sn (0.5000, 0.4118, 0.3690)
Sn (0.5000, 0.5882, 0.8690)
Sn (0.5000, 0.7501, 0.3520)
Sn (0.5000, 0.9247, 0.8445)
Pb (0.0000, 0.1229, 0.6214)
Pb (0.0000, 0.2425, 0.2536)
Pb (0.0000, 0.4136, 0.0490)
Pb (0.0000, 0.5864, 0.5490)
Pb (0.0000, 0.7575, 0.7536)
Pb (0.0000, 0.8771, 0.1214)
S (0.0000, 0.0101, 0.2852)
S (0.0000, 0.2421, 0.9962)
S (0.0000, 0.2561, 0.7017)
S (0.0000, 0.3412, 0.4496)
S (0.0000, 0.4818, 0.2883)
S (0.0000, 0.5182, 0.7883)
S (0.0000, 0.6588, 0.9496)
S (0.0000, 0.7439, 0.2017)
S (0.0000, 0.7579, 0.4962)
S (0.0000, 0.9899, 0.7852)
S (0.5000, 0.0117, 0.5335)
S (0.5000, 0.1267, 0.8325)
S (0.5000, 0.1408, 0.1574)
S (0.5000, 0.1771, 0.4525)
S (0.5000, 0.3428, 0.1883)
S (0.5000, 0.3748, 0.8451)
S (0.5000, 0.4705, 0.5614)
S (0.5000, 0.5295, 0.0614)
S (0.5000, 0.6252, 0.3451)
S (0.5000, 0.6572, 0.6883)
S (0.5000, 0.8229, 0.9525)
S (0.5000, 0.8592, 0.6574)
S (0.5000, 0.8733, 0.3325)
S (0.5000, 0.9883, 0.0335)

Main lines, low angle first (2θ from 10° to 90°):
2theta, intensity
25.94, 285
26.24, 443
27.08, 1000
32.28, 577
37.90, 266
45.75, 329

# 6
Computed XRD peak list of Zr2CN for Cu Kα, 1.54184 Å, from a crystal structure in the Materials Project, relaxed with GGA-PBE.
Lines closer than 0.1° are merged.

Structure:
a = 3.3052 Å, b = 3.3052 Å, c = 16.1915 Å
α = 90.00°, β = 90.00°, γ = 120.00°
Positions (direct):
Zr (0.0000, 0.0000, 0.2491)
Zr (0.0000, 0.0000, 0.7509)
Zr (0.3333, 0.6667, 0.4176)
Zr (0.3333, 0.6667, 0.9157)
Zr (0.6667, 0.3333, 0.0843)
Zr (0.6667, 0.3333, 0.5824)
C (0.0000, 0.0000, 0.5000)
C (0.3333, 0.6667, 0.1667)
C (0.6667, 0.3333, 0.8333)
N (0.0000, 0.0000, 0.0000)
N (0.3333, 0.6667, 0.6667)
N (0.6667, 0.3333, 0.3333)

Main lines, low angle first (2θ from 10° to 90°):
2theta, intensity
33.20, 1000
38.52, 832
55.61, 535
66.32, 412
69.69, 174
82.56, 81

# 7
Computed XRD peak list of GdIn2Cu9 for Cu Kα, 1.54184 Å, from a crystal structure in the Materials Project, relaxed with GGA-PBE.
Lines closer than 0.1° are merged.

Structure:
a = 8.4476 Å, b = 8.4476 Å, c = 5.0392 Å
α = 90.00°, β = 90.00°, γ = 90.00°
Positions (direct):
Gd (0.0000, 0.0000, 0.0000)
Gd (0.5000, 0.5000, 0.0000)
In (0.1244, 0.3756, 0.0000)
In (0.3756, 0.8756, 0.0000)
In (0.6244, 0.1244, 0.0000)
In (0.8756, 0.6244, 0.0000)
Cu (0.0000, 0.5000, 0.5000)
Cu (0.0631, 0.2033, 0.5000)
Cu (0.1773, 0.6773, 0.2459)
Cu (0.1773, 0.6773, 0.7541)
Cu (0.2033, 0.9369, 0.5000)
Cu (0.2967, 0.4369, 0.5000)
Cu (0.3227, 0.1773, 0.2459)
Cu (0.3227, 0.1773, 0.7541)
Cu (0.4369, 0.7033, 0.5000)
Cu (0.5000, 0.0000, 0.5000)
Cu (0.5631, 0.2967, 0.5000)
Cu (0.6773, 0.8227, 0.2459)
Cu (0.6773, 0.8227, 0.7541)
Cu (0.7033, 0.5631, 0.5000)
Cu (0.7967, 0.0631, 0.5000)
Cu (0.8227, 0.3227, 0.2459)
Cu (0.8227, 0.3227, 0.7541)
Cu (0.9369, 0.7967, 0.5000)

Main lines, low angle first (2θ from 10° to 90°):
2theta, intensity
33.55, 220
38.13, 1000
41.74, 301
42.55, 365
43.16, 694
44.21, 320

Copy entry 4 word for word.
Computed XRD peak list of Zr8As5 for Cu Kα, 1.54184 Å, from a crystal structure in the Materials Project, relaxed with GGA-PBE.
Lines closer than 0.1° are merged.

Structure:
a = 3.7349 Å, b = 10.2127 Å, c = 28.8009 Å
α = 90.00°, β = 90.00°, γ = 90.00°
Positions (direct):
Zr (0.0000, 0.0020, 0.0180)
Zr (0.0000, 0.1634, 0.9056)
Zr (0.0000, 0.2485, 0.7352)
Zr (0.0000, 0.2542, 0.1784)
Zr (0.0000, 0.3394, 0.5645)
Zr (0.0000, 0.4965, 0.4512)
Zr (0.0000, 0.5035, 0.9512)
Zr (0.0000, 0.6606, 0.0645)
Zr (0.0000, 0.7458, 0.6784)
Zr (0.0000, 0.7515, 0.2352)
Zr (0.0000, 0.8366, 0.4056)
Zr (0.0000, 0.9980, 0.5180)
Zr (0.5000, 0.0236, 0.2422)
Zr (0.5000, 0.0740, 0.1153)
Zr (0.5000, 0.0886, 0.3611)
Zr (0.5000, 0.2421, 0.6526)
Zr (0.5000, 0.2450, 0.4705)
Zr (0.5000, 0.2552, 0.0000)
Zr (0.5000, 0.2589, 0.8175)
Zr (0.5000, 0.4148, 0.1082)
Zr (0.5000, 0.4240, 0.3536)
Zr (0.5000, 0.4798, 0.2279)
Zr (0.5000, 0.5202, 0.7279)
Zr (0.5000, 0.5760, 0.8536)
Zr (0.5000, 0.5852, 0.6082)
Zr (0.5000, 0.7411, 0.3175)
Zr (0.5000, 0.7448, 0.5000)
Zr (0.5000, 0.7550, 0.9705)
Zr (0.5000, 0.7579, 0.1526)
Zr (0.5000, 0.9114, 0.8611)
Zr (0.5000, 0.9260, 0.6153)
Zr (0.5000, 0.9764, 0.7422)
As (0.0000, 0.0360, 0.6744)
As (0.0000, 0.0582, 0.8113)
As (0.0000, 0.2318, 0.0737)
As (0.0000, 0.2677, 0.3975)
As (0.0000, 0.4463, 0.6599)
As (0.0000, 0.4620, 0.7962)
As (0.0000, 0.5380, 0.2962)
As (0.0000, 0.5537, 0.1599)
As (0.0000, 0.7323, 0.8975)
As (0.0000, 0.7682, 0.5737)
As (0.0000, 0.9418, 0.3113)
As (0.0000, 0.9640, 0.1744)
As (0.5000, 0.0134, 0.9485)
As (0.5000, 0.1462, 0.5632)
As (0.5000, 0.3570, 0.9061)
As (0.5000, 0.4857, 0.5201)
As (0.5000, 0.5143, 0.0201)
As (0.5000, 0.6430, 0.4061)
As (0.5000, 0.8538, 0.0632)
As (0.5000, 0.9866, 0.4485)

Main lines, low angle first (2θ from 10° to 90°):
2theta, intensity
34.61, 369
35.15, 1000
35.82, 536
39.04, 480
40.51, 388
48.76, 441